# PbCl8
Calculated powder XRD pattern, Cu Ka. Input: a PBE-relaxed structure.

Largest 12 diffraction maxima, in order of falling intensity, 10 to 90 degrees two-theta:
d = 4.037 Å, intensity 100.0, (0 2 0); d = 4.583 Å, intensity 83.8, (1 1 1); d = 6.257 Å, intensity 70.9, (1 1 0); d = 3.976 Å, intensity 63.7, (1 1 -2); d = 5.701 Å, intensity 63.2, (1 1 -1); d = 8.563 Å, intensity 60.5, (0 0 1); d = 2.852 Å, intensity 35.2, (0 0 3); d = 2.110 Å, intensity 35.0, (4 2 0); d = 3.053 Å, intensity 26.1, (3 1 0); d = 2.321 Å, intensity 23.2, (4 0 -3); d = 4.947 Å, intensity 20.9, (2 0 0); d = 2.018 Å, intensity 19.2, (0 4 0)

Structure:
```
data_PbCl8
_space_group_name_H-M_alt 'C 1 2/m 1'
_space_group_IT_number 12
_cell_length_a 10.591
_cell_length_b 8.076
_cell_length_c 9.165
_cell_angle_alpha 90.00
_cell_angle_beta 110.89
_cell_angle_gamma 90.00
loop_
_space_group_symop_operation_xyz
'x,y,z'
'-x,-y,-z'
'-x,y,-z'
'x,-y,z'
'x+1/2,y+1/2,z'
'-x+1/2,-y+1/2,-z'
'-x+1/2,y+1/2,-z'
'x+1/2,-y+1/2,z'
loop_
_atom_site_label
_atom_site_type_symbol
_atom_site_fract_x
_atom_site_fract_y
_atom_site_fract_z
Pb1 Pb 0.000 0.000 0.000
Cl1 Cl 0.021 0.000 0.736
Cl2 Cl 0.051 0.500 0.355
Cl3 Cl 0.218 0.500 0.296
Cl4 Cl 0.248 0.000 0.128
```

# Ba2PrPaS6
Calculated powder XRD pattern, Cu Ka. Input: a PBE-relaxed structure.

Largest 12 diffraction maxima, in order of falling intensity, 10 to 90 degrees two-theta:
d = 3.729 Å, intensity 100.0, (1 1 1); d = 2.124 Å, intensity 29.8, (3 1 -5); d = 2.643 Å, intensity 29.4, (2 2 -2); d = 3.656 Å, intensity 23.2, (2 0 -2); d = 3.825 Å, intensity 22.3, (0 2 0); d = 2.630 Å, intensity 18.5, (0 0 4); d = 1.864 Å, intensity 17.0, (2 2 -6); d = 5.279 Å, intensity 15.6, (1 1 -1); d = 2.189 Å, intensity 15.2, (1 3 -3); d = 2.135 Å, intensity 14.4, (2 0 2); d = 2.167 Å, intensity 13.1, (0 2 4); d = 1.664 Å, intensity 11.2, (1 1 -7)

Structure:
```
data_Ba2PrPaS6
_space_group_name_H-M_alt 'P 1 21/c 1'
_space_group_IT_number 14
_cell_length_a 7.312
_cell_length_b 7.650
_cell_length_c 12.803
_cell_angle_alpha 90.00
_cell_angle_beta 124.74
_cell_angle_gamma 90.00
loop_
_space_group_symop_operation_xyz
'x,y,z'
'-x,-y,-z'
'-x,y+1/2,-z+1/2'
'x,-y+1/2,z+1/2'
loop_
_atom_site_label
_atom_site_type_symbol
_atom_site_fract_x
_atom_site_fract_y
_atom_site_fract_z
Ba1 Ba 0.230 0.066 0.250
Pr1 Pr 0.500 0.000 0.000
Pa1 Pa 0.000 0.000 0.500
S1 S 0.137 0.212 0.947
S2 S 0.241 0.693 0.950
S3 S 0.338 0.029 0.741
```

# Pm2TlAg3
Calculated powder XRD pattern, Cu Ka. Input: a PBE-relaxed structure.

Largest 12 diffraction maxima, in order of falling intensity, 10 to 90 degrees two-theta:
d = 2.674 Å, intensity 100.0, (2 2 2); d = 2.477 Å, intensity 58.7, (0 2 6); d = 1.407 Å, intensity 29.2, (4 4 0); d = 2.468 Å, intensity 29.1, (0 4 0); d = 1.815 Å, intensity 20.9, (2 4 4); d = 1.465 Å, intensity 20.6, (2 4 8); d = 1.819 Å, intensity 10.6, (2 0 8); d = 1.461 Å, intensity 10.2, (2 6 2); d = 1.427 Å, intensity 10.2, (0 6 6); d = 1.711 Å, intensity 9.4, (4 0 0); d = 1.096 Å, intensity 9.1, (4 6 6); d = 1.239 Å, intensity 6.4, (0 4 12)

Structure:
```
data_Pm2TlAg3
_space_group_name_H-M_alt 'F m m m'
_space_group_IT_number 69
_space_group_name_Hall '-F 2 2'
_cell_length_a 6.845
_cell_length_b 9.874
_cell_length_c 17.183
_cell_angle_alpha 90.00
_cell_angle_beta 90.00
_cell_angle_gamma 90.00
loop_
_atom_site_label
_atom_site_type_symbol
_atom_site_fract_x
_atom_site_fract_y
_atom_site_fract_z
Pm1 Pm 0.245 0.000 0.000
Pm2 Pm 0.250 0.250 0.250
Tl1 Tl 0.000 0.000 0.334
Ag1 Ag 0.000 0.000 0.165
Ag2 Ag 0.000 0.247 0.082
```

# Pr2Hg3Au3
Calculated powder XRD pattern, Cu Ka. Input: a PBE-relaxed structure.

Largest 12 diffraction maxima, in order of falling intensity, 10 to 90 degrees two-theta:
d = 2.573 Å, intensity 100.0, (1 1 0); d = 2.540 Å, intensity 94.3, (0 1 8); d = 1.479 Å, intensity 36.2, (1 2 8); d = 1.808 Å, intensity 34.7, (2 0 8); d = 1.485 Å, intensity 18.8, (3 0 0); d = 1.148 Å, intensity 16.5, (3 1 8); d = 1.460 Å, intensity 16.1, (1 0 16); d = 1.139 Å, intensity 15.1, (2 1 16); d = 1.286 Å, intensity 11.8, (2 2 0); d = 1.270 Å, intensity 10.3, (0 2 16); d = 4.192 Å, intensity 2.5, (0 1 2); d = 3.615 Å, intensity 1.3, (1 0 4)

Structure:
```
data_Pr2Hg3Au3
_space_group_name_H-M_alt 'R 3 m'
_space_group_IT_number 160
_space_group_name_Hall 'R 3 -2"'
_cell_length_a 5.1452
_cell_length_b 5.1452
_cell_length_c 24.7337
_cell_angle_alpha 90.00
_cell_angle_beta 90.00
_cell_angle_gamma 120.00
loop_
_atom_site_label
_atom_site_type_symbol
_atom_site_fract_x
_atom_site_fract_y
_atom_site_fract_z
Pr1 Pr 0.0000 0.0000 0.0000
Pr2 Pr 0.0000 0.0000 0.4920
Hg1 Hg 0.0000 0.0000 0.2484
Hg2 Hg 0.0000 0.0000 0.7431
Hg3 Hg 0.0000 0.0000 0.8712
Au1 Au 0.0000 0.0000 0.1257
Au2 Au 0.0000 0.0000 0.3680
Au3 Au 0.0000 0.0000 0.6192
```

# CaNdHg4
Calculated powder XRD pattern, Cu Ka. Input: a PBE-relaxed structure.

Largest 12 diffraction maxima, in order of falling intensity, 10 to 90 degrees two-theta:
d = 2.824 Å, intensity 100.0, (1 1 -2); d = 2.548 Å, intensity 75.7, (2 0 2); d = 2.541 Å, intensity 75.1, (3 1 0); d = 1.574 Å, intensity 35.0, (5 1 -4); d = 1.568 Å, intensity 34.7, (2 2 2); d = 1.425 Å, intensity 25.2, (7 1 -2); d = 2.004 Å, intensity 18.9, (2 0 -4); d = 1.990 Å, intensity 18.5, (0 2 0); d = 1.412 Å, intensity 12.3, (2 2 -4); d = 1.651 Å, intensity 10.2, (6 0 0); d = 4.952 Å, intensity 10.1, (2 0 0); d = 1.274 Å, intensity 8.7, (8 0 -4)

Structure:
```
data_CaNdHg4
_space_group_name_H-M_alt 'C 1 2/m 1'
_space_group_IT_number 12
_cell_length_a 10.683
_cell_length_b 3.979
_cell_length_c 8.016
_cell_angle_alpha 90.00
_cell_angle_beta 112.01
_cell_angle_gamma 90.00
loop_
_space_group_symop_operation_xyz
'x,y,z'
'-x,-y,-z'
'-x,y,-z'
'x,-y,z'
'x+1/2,y+1/2,z'
'-x+1/2,-y+1/2,-z'
'-x+1/2,y+1/2,-z'
'x+1/2,-y+1/2,z'
loop_
_atom_site_label
_atom_site_type_symbol
_atom_site_fract_x
_atom_site_fract_y
_atom_site_fract_z
Ca1 Ca 0.000 0.000 0.000
Nd1 Nd 0.000 0.000 0.500
Hg1 Hg 0.168 0.500 0.331
Hg2 Hg 0.170 0.500 0.837
```

# Li2Rh
Calculated powder XRD pattern, Cu Ka. Input: a PBE-relaxed structure.

Largest 12 diffraction maxima, in order of falling intensity, 10 to 90 degrees two-theta:
d = 3.939 Å, intensity 100.0, (1 1 0); d = 2.111 Å, intensity 47.5, (1 3 1); d = 4.258 Å, intensity 36.6, (0 2 0); d = 3.090 Å, intensity 29.8, (0 2 1); d = 1.951 Å, intensity 28.2, (1 1 2); d = 2.246 Å, intensity 16.7, (0 0 2); d = 2.222 Å, intensity 16.2, (2 0 0); d = 1.924 Å, intensity 15.8, (0 4 1); d = 2.962 Å, intensity 15.4, (1 1 1); d = 1.454 Å, intensity 12.4, (2 4 1); d = 1.499 Å, intensity 12.3, (1 5 1); d = 1.804 Å, intensity 12.2, (2 2 1)

Structure:
```
data_Li2Rh
_space_group_name_H-M_alt 'C m c m'
_space_group_IT_number 63
_space_group_name_Hall '-C 2c 2'
_cell_length_a 4.444
_cell_length_b 8.516
_cell_length_c 4.491
_cell_angle_alpha 90.00
_cell_angle_beta 90.00
_cell_angle_gamma 90.00
loop_
_atom_site_label
_atom_site_type_symbol
_atom_site_fract_x
_atom_site_fract_y
_atom_site_fract_z
Li1 Li 0.000 0.090 0.250
Li2 Li 0.000 0.244 0.750
Rh1 Rh 0.000 0.438 0.250
```

# K2PmTiTe4
Calculated powder XRD pattern, Cu Ka. Input: a PBE-relaxed structure.

Largest 12 diffraction maxima, in order of falling intensity, 10 to 90 degrees two-theta:
d = 3.235 Å, intensity 100.0, (1 1 1); d = 8.243 Å, intensity 37.4, (0 0 1); d = 2.191 Å, intensity 35.2, (0 2 0); d = 2.397 Å, intensity 30.8, (1 1 -3); d = 2.586 Å, intensity 19.1, (2 0 -3); d = 1.814 Å, intensity 17.0, (2 2 -2); d = 1.934 Å, intensity 14.8, (1 1 -4); d = 1.397 Å, intensity 13.0, (1 3 1); d = 3.628 Å, intensity 9.9, (1 1 -1); d = 1.617 Å, intensity 8.3, (2 2 2); d = 2.118 Å, intensity 7.6, (0 2 1); d = 1.501 Å, intensity 6.9, (0 2 4)

Structure:
```
data_K2PmTiTe4
_space_group_name_H-M_alt 'P 1 2/m 1'
_space_group_IT_number 10
_cell_length_a 7.593
_cell_length_b 4.381
_cell_length_c 8.619
_cell_angle_alpha 90.00
_cell_angle_beta 106.98
_cell_angle_gamma 90.00
loop_
_space_group_symop_operation_xyz
'x,y,z'
'-x,-y,-z'
'-x,y,-z'
'x,-y,z'
loop_
_atom_site_label
_atom_site_type_symbol
_atom_site_fract_x
_atom_site_fract_y
_atom_site_fract_z
K1 K 0.000 0.000 0.000
K2 K 0.500 0.500 0.000
Pm1 Pm 0.000 0.500 0.500
Ti1 Ti 0.500 0.000 0.500
Te1 Te 0.259 0.000 0.708
Te2 Te 0.291 0.500 0.305
```

# Sm3InB2Pt9
Calculated powder XRD pattern, Cu Ka. Input: a PBE-relaxed structure.

Largest 12 diffraction maxima, in order of falling intensity, 10 to 90 degrees two-theta:
d = 2.431 Å, intensity 100.0, (0 2 1); d = 2.223 Å, intensity 89.3, (2 0 2); d = 3.171 Å, intensity 31.6, (0 0 3); d = 1.452 Å, intensity 27.2, (2 2 0); d = 2.378 Å, intensity 16.2, (0 0 4); d = 2.682 Å, intensity 16.1, (0 1 3); d = 1.970 Å, intensity 14.9, (2 0 3); d = 1.320 Å, intensity 14.0, (2 2 3); d = 1.517 Å, intensity 13.4, (0 2 5); d = 1.216 Å, intensity 13.1, (0 4 2); d = 1.341 Å, intensity 12.9, (2 0 6); d = 1.239 Å, intensity 12.7, (2 2 4)

Structure:
```
data_Sm3InB2Pt9
_space_group_name_H-M_alt 'P -3 m 1'
_space_group_IT_number 164
_space_group_name_Hall '-P 3 2"'
_cell_length_a 5.8077
_cell_length_b 5.8077
_cell_length_c 9.5126
_cell_angle_alpha 90.00
_cell_angle_beta 90.00
_cell_angle_gamma 120.00
loop_
_atom_site_label
_atom_site_type_symbol
_atom_site_fract_x
_atom_site_fract_y
_atom_site_fract_z
Sm1 Sm 0.0000 0.0000 0.0000
Sm2 Sm 0.3333 0.6667 0.6254
In1 In 0.0000 0.0000 0.5000
B1 B 0.3333 0.6667 0.1438
Pt1 Pt 0.0000 0.5000 0.0000
Pt2 Pt 0.1662 0.3323 0.2765
```

# BiPb2SeN
Calculated powder XRD pattern, Cu Ka. Input: a PBE-relaxed structure.

Largest 12 diffraction maxima, in order of falling intensity, 10 to 90 degrees two-theta:
d = 3.240 Å, intensity 100.0, (1 1 1); d = 2.841 Å, intensity 59.6, (2 0 0); d = 5.683 Å, intensity 46.2, (1 0 0); d = 1.972 Å, intensity 42.3, (2 0 2); d = 1.707 Å, intensity 32.9, (3 1 1); d = 2.739 Å, intensity 27.0, (0 0 2); d = 1.620 Å, intensity 22.8, (2 2 2); d = 2.009 Å, intensity 22.4, (2 2 0); d = 5.477 Å, intensity 20.6, (0 0 1); d = 1.153 Å, intensity 15.8, (4 2 2); d = 1.662 Å, intensity 15.1, (1 1 3); d = 1.281 Å, intensity 13.1, (3 1 3)

Structure:
```
data_BiPb2SeN
_space_group_name_H-M_alt 'P 4/m m m'
_space_group_IT_number 123
_space_group_name_Hall '-P 4 2'
_cell_length_a 5.683
_cell_length_b 5.683
_cell_length_c 5.477
_cell_angle_alpha 90.00
_cell_angle_beta 90.00
_cell_angle_gamma 90.00
loop_
_atom_site_label
_atom_site_type_symbol
_atom_site_fract_x
_atom_site_fract_y
_atom_site_fract_z
Bi1 Bi 0.000 0.000 0.000
Pb1 Pb 0.000 0.500 0.500
Se1 Se 0.000 0.000 0.500
N1 N 0.500 0.500 0.000
```

# Dy3FeI3
Calculated powder XRD pattern, Cu Ka. Input: a PBE-relaxed structure.

Largest 12 diffraction maxima, in order of falling intensity, 10 to 90 degrees two-theta:
d = 2.978 Å, intensity 100.0, (1 1 6); d = 2.013 Å, intensity 26.4, (3 0 0); d = 2.213 Å, intensity 25.8, (2 -1 12); d = 3.486 Å, intensity 21.1, (1 1 0); d = 1.668 Å, intensity 17.0, (4 -2 6); d = 2.575 Å, intensity 14.8, (1 1 9); d = 5.722 Å, intensity 12.7, (0 0 6); d = 1.284 Å, intensity 12.1, (4 1 6); d = 1.915 Å, intensity 7.7, (2 -1 15); d = 2.864 Å, intensity 7.4, (0 0 12); d = 1.647 Å, intensity 7.0, (3 0 12); d = 1.385 Å, intensity 6.6, (3 0 18)

Structure:
```
data_Dy3FeI3
_space_group_name_H-M_alt 'R -3'
_space_group_IT_number 148
_space_group_name_Hall '-R 3'
_cell_length_a 6.9723
_cell_length_b 6.9723
_cell_length_c 34.3697
_cell_angle_alpha 90.00
_cell_angle_beta 90.00
_cell_angle_gamma 120.00
loop_
_atom_site_label
_atom_site_type_symbol
_atom_site_fract_x
_atom_site_fract_y
_atom_site_fract_z
Dy1 Dy 0.0003 0.3644 0.4551
Fe1 Fe 0.0000 0.0000 0.1667
I1 I 0.0002 0.3232 0.6067
```

# LaCeGe4Pt4
Calculated powder XRD pattern, Cu Ka. Input: a PBE-relaxed structure.

Largest 12 diffraction maxima, in order of falling intensity, 10 to 90 degrees two-theta:
d = 2.651 Å, intensity 100.0, (1 1 -2); d = 2.210 Å, intensity 82.0, (2 0 0); d = 2.663 Å, intensity 65.4, (1 0 3); d = 1.953 Å, intensity 39.3, (1 1 4); d = 1.701 Å, intensity 34.4, (2 1 -3); d = 2.984 Å, intensity 33.6, (1 1 -1); d = 1.563 Å, intensity 29.2, (2 2 0); d = 1.824 Å, intensity 21.6, (1 0 -5); d = 1.407 Å, intensity 18.3, (2 1 5); d = 1.346 Å, intensity 18.2, (1 3 -2); d = 1.220 Å, intensity 17.1, (3 1 4); d = 1.472 Å, intensity 16.2, (1 1 6)

Structure:
```
data_LaCeGe4Pt4
_space_group_name_H-M_alt 'P 1 m 1'
_space_group_IT_number 6
_cell_length_a 4.420
_cell_length_b 4.421
_cell_length_c 10.010
_cell_angle_alpha 90.00
_cell_angle_beta 90.04
_cell_angle_gamma 90.00
loop_
_space_group_symop_operation_xyz
'x,y,z'
'x,-y,z'
loop_
_atom_site_label
_atom_site_type_symbol
_atom_site_fract_x
_atom_site_fract_y
_atom_site_fract_z
La1 La 0.000 0.000 0.000
Ce1 Ce 0.501 0.500 0.497
Ge1 Ge 0.000 0.500 0.252
Ge2 Ge 0.002 0.000 0.620
Ge3 Ge 0.499 0.500 0.878
Ge4 Ge 0.500 0.000 0.252
Pt1 Pt 0.000 0.000 0.375
Pt2 Pt 0.500 0.500 0.127
Pt3 Pt 0.503 0.000 0.746
Pt4 Pt 0.998 0.500 0.746
```

# Dy7Ho3Th2
Calculated powder XRD pattern, Cu Ka. Input: a PBE-relaxed structure.

Largest 12 diffraction maxima, in order of falling intensity, 10 to 90 degrees two-theta:
d = 2.895 Å, intensity 100.0, (0 0 6); d = 2.509 Å, intensity 45.2, (1 1 3); d = 2.886 Å, intensity 33.0, (0 2 1); d = 1.771 Å, intensity 24.1, (0 2 7); d = 2.498 Å, intensity 22.2, (0 2 -5); d = 1.514 Å, intensity 19.3, (2 2 0); d = 1.511 Å, intensity 19.1, (1 3 4); d = 1.769 Å, intensity 15.9, (1 3 -2); d = 1.508 Å, intensity 14.2, (1 3 -8); d = 1.149 Å, intensity 11.9, (0 2 13); d = 1.448 Å, intensity 8.3, (2 2 -6); d = 1.777 Å, intensity 8.1, (2 0 -1)

Structure:
```
data_Dy7Ho3Th2
_space_group_name_H-M_alt 'P -1'
_space_group_IT_number 2
_cell_length_a 3.554
_cell_length_b 6.118
_cell_length_c 17.706
_cell_angle_alpha 99.86
_cell_angle_beta 95.76
_cell_angle_gamma 90.00
loop_
_space_group_symop_operation_xyz
'x,y,z'
'-x,-y,-z'
loop_
_atom_site_label
_atom_site_type_symbol
_atom_site_fract_x
_atom_site_fract_y
_atom_site_fract_z
Dy1 Dy 0.000 0.000 0.000
Dy2 Dy 0.083 0.411 0.167
Dy3 Dy 0.249 0.257 0.499
Dy4 Dy 0.417 0.082 0.833
Ho1 Ho 0.166 0.834 0.333
Ho2 Ho 0.500 0.500 0.000
Th1 Th 0.334 0.670 0.668
```